(1)
Calculated powder XRD pattern
Compound: KBe2B3O7
Radiation: a wavelength of 1.5418 Å
Structure: a structure optimized by DFT (GGA-PBE)
Neutral-atom scattering factors, no anomalous dispersion.

Structure:
Cell lengths 7.7205, 17.6988, 4.4172 Å; angles 90.00, 90.00, 90.00 degrees
Atoms (fractional coordinates):
K: 0.0000 0.1373 0.0000
K: 0.0000 0.6471 0.5714
K: 0.5000 0.3529 0.0714
K: 0.5000 0.8627 0.5000
Be: 0.1759 0.4626 0.6651
Be: 0.1881 0.9585 0.0202
Be: 0.3119 0.0415 0.5202
Be: 0.3241 0.5374 0.1651
Be: 0.6759 0.5374 0.1651
Be: 0.6881 0.0415 0.5202
Be: 0.8119 0.9585 0.0202
Be: 0.8241 0.4626 0.6651
B: 0.0000 0.4910 0.1598
B: 0.0000 0.9802 0.5185
B: 0.1600 0.8154 0.9396
B: 0.1649 0.3073 0.5654
B: 0.3351 0.6927 0.0654
B: 0.3400 0.1846 0.4396
B: 0.5000 0.0198 0.0185
B: 0.5000 0.5090 0.6598
B: 0.6600 0.1846 0.4396
B: 0.6649 0.6927 0.0654
B: 0.8351 0.3073 0.5654
B: 0.8400 0.8154 0.9396
O: 0.0000 0.2759 0.5259
O: 0.0000 0.4903 0.8481
O: 0.0000 0.8307 0.8021
O: 0.0000 0.9728 0.2061
O: 0.1553 0.4929 0.3143
O: 0.1569 0.9871 0.6695
O: 0.1980 0.7389 0.9674
O: 0.2064 0.3745 0.6781
O: 0.2387 0.1273 0.5316
O: 0.2613 0.8727 0.0316
O: 0.2936 0.6255 0.1781
O: 0.3020 0.2611 0.4674
O: 0.3431 0.0129 0.1695
O: 0.3447 0.5071 0.8143
O: 0.5000 0.0272 0.7061
O: 0.5000 0.1693 0.3021
O: 0.5000 0.5097 0.3481
O: 0.5000 0.7241 0.0259
O: 0.6553 0.5071 0.8143
O: 0.6569 0.0129 0.1695
O: 0.6980 0.2611 0.4674
O: 0.7064 0.6255 0.1781
O: 0.7387 0.8727 0.0316
O: 0.7613 0.1273 0.5316
O: 0.7936 0.3745 0.6781
O: 0.8020 0.7389 0.9674
O: 0.8431 0.9871 0.6695
O: 0.8447 0.4929 0.3143

Most intense lines, 10° ≤ 2θ ≤ 90°, most intense first:
2θ/deg, d [Å], I/Imax
27.7, 3.215, 100.0
31.2, 2.868, 85.5
32.5, 2.758, 67.9
20.7, 4.286, 38.9
30.3, 2.950, 37.4
43.5, 2.081, 32.4
40.1, 2.246, 30.8
40.8, 2.211, 29.0



(2)
Calculated powder XRD pattern
Compound: KBe2B3O7
Radiation: a wavelength of 1.5418 Å
Structure: a structure optimized by DFT (GGA-PBE)
Neutral-atom scattering factors, no anomalous dispersion.

Structure:
Cell lengths 6.9316, 6.9316, 6.6552 Å; angles 108.29, 108.29, 81.65 degrees
Atoms (fractional coordinates):
K: 0.1788 0.8212 0.7500
K: 0.8212 0.1788 0.2500
Be: 0.0546 0.6355 0.1572
Be: 0.3645 0.9454 0.3428
Be: 0.6355 0.0546 0.6572
Be: 0.9454 0.3645 0.8428
B: 0.2296 0.2680 0.1832
B: 0.2680 0.2296 0.6832
B: 0.4490 0.5510 0.2500
B: 0.5510 0.4490 0.7500
B: 0.7320 0.7704 0.3168
B: 0.7704 0.7320 0.8168
O: 0.0559 0.3862 0.1153
O: 0.0806 0.2224 0.6975
O: 0.2224 0.0806 0.1975
O: 0.2972 0.7028 0.2500
O: 0.3531 0.4192 0.7357
O: 0.3862 0.0559 0.6153
O: 0.4192 0.3531 0.2357
O: 0.5808 0.6469 0.7643
O: 0.6138 0.9441 0.3847
O: 0.6469 0.5808 0.2643
O: 0.7028 0.2972 0.7500
O: 0.7776 0.9194 0.8025
O: 0.9194 0.7776 0.3025
O: 0.9441 0.6138 0.8847

Most intense lines, 10° ≤ 2θ ≤ 90°, most intense first:
2θ/deg, d [Å], I/Imax
29.5, 3.028, 100.0
39.7, 2.269, 51.4
27.5, 3.240, 36.8
42.6, 2.122, 36.7
28.7, 3.108, 30.7
31.1, 2.880, 30.4
22.6, 3.929, 27.6
34.1, 2.633, 20.8